Computed X-ray diffraction stick pattern
Compound: Cs4Bi3N4
Radiation: λ = 1.5418 Å (Cu Kα)
Structure: a DFT-relaxed cell (PBE, Alexandria)
Lines closer than 0.1° are merged.

Top 10 peaks for 5 to 70 degrees two-theta, low angle first:
- 2θ = 9.41°, d 9.395, rel. 79
- 2θ = 14.30°, d 6.194, rel. 62
- 2θ = 20.03°, d 4.434, rel. 59
- 2θ = 26.22°, d 3.399, rel. 78
- 2θ = 27.19°, d 3.279, rel. 100
- 2θ = 27.37°, d 3.258, rel. 28
- 2θ = 30.25°, d 2.954, rel. 33
- 2θ = 34.01°, d 2.636, rel. 40
- 2θ = 35.77°, d 2.510, rel. 26
- 2θ = 45.24°, d 2.005, rel. 26

Atomic structure:
```
11
Lattice="10.0766 -3.2806 0.0000 10.0766 3.2806 0.0000 -2.7814 0.0000 7.1712" Properties=species:S:1:pos:R:3 pbc="T T T"
Cs 0.3604 0.0000 2.0738
Cs 5.1374 0.0000 1.8460
Cs 12.2344 0.0000 5.3252
Cs 17.0113 0.0000 5.0973
Bi 8.6708 0.0000 0.4079
Bi 8.6859 0.0000 3.5856
Bi 8.7009 0.0000 6.7632
N 2.4622 0.0000 4.7135
N 2.5221 0.0000 5.8588
N 14.8496 0.0000 1.3124
N 14.9095 0.0000 2.4576
```